(1)
K2FeN2: computed powder diffractogram (Cu Kα, 1.54184 Å), based on the GGA-PBE geometry in Alexandria.

The 10 most intense peaks (10° ≤ 2θ ≤ 90°), most intense first:
(hkl)  2θ (°)  Rel. int.
0 6 1  32.31  100
1 1 1  31.51  74
1 5 0  36.45  55
0 2 1  17.55  41
0 0 2  29.79  34
1 3 2  43.42  30
0 2 2  31.32  29
1 3 1  34.37  24
2 6 1  66.37  20
0 4 0  18.94  16

Cell and atoms:
```
data_K2FeN2
_chemical_formula_sum 'K8 Fe4 N8'
_cell_length_a 3.2714
_cell_length_b 18.7413
_cell_length_c 5.9984
_cell_angle_alpha 90.00
_cell_angle_beta 90.00
_cell_angle_gamma 90.00
_symmetry_space_group_name_H-M 'C m c 21'
_symmetry_Int_Tables_number 36
loop_
_symmetry_equiv_pos_as_xyz
'x,y,z'
'-x,-y,z+1/2'
'-x,y,z'
'x,-y,z+1/2'
'x+1/2,y+1/2,z'
'-x+1/2,-y+1/2,z+1/2'
'-x+1/2,y+1/2,z'
'x+1/2,-y+1/2,z+1/2'
loop_
_atom_site_label
_atom_site_type_symbol
_atom_site_fract_x
_atom_site_fract_y
_atom_site_fract_z
_atom_site_occupancy
K1 K 0.0000 0.0277 0.0000 1
K2 K 0.0000 0.1980 0.1571 1
Fe1 Fe 0.0000 0.3695 0.0861 1
N1 N 0.0000 0.1507 0.6868 1
N2 N 0.0000 0.4115 0.8508 1
```

(2)
KNbFeN3: computed powder diffractogram (Cu Kα, 1.54184 Å), based on the GGA-PBE geometry in Alexandria.

The 10 most intense peaks (10° ≤ 2θ ≤ 90°), most intense first:
(hkl)  2θ (°)  Rel. int.
1 0 -1  13.87  100
2 0 -2  27.94  27
2 1 0  37.95  23
2 1 -1  36.94  18
0 1 2  36.12  16
1 1 1  34.18  16
1 0 3  41.29  11
1 1 -3  43.13  11
0 0 1  11.42  8
2 1 -4  53.58  7

Cell and atoms:
```
data_KNbFeN3
_chemical_formula_sum 'K2 Nb2 Fe2 N6'
_cell_length_a 7.4085
_cell_length_b 3.2429
_cell_length_c 8.2549
_cell_angle_alpha 90.00
_cell_angle_beta 110.22
_cell_angle_gamma 90.00
_symmetry_space_group_name_H-M 'P 1 21/m 1'
_symmetry_Int_Tables_number 11
loop_
_symmetry_equiv_pos_as_xyz
'x,y,z'
'-x,-y,-z'
'-x,y+1/2,-z'
'x,-y+1/2,z'
loop_
_atom_site_label
_atom_site_type_symbol
_atom_site_fract_x
_atom_site_fract_y
_atom_site_fract_z
_atom_site_occupancy
K1 K 0.2144 0.2500 0.2341 1
Nb1 Nb 0.3307 0.7500 0.8790 1
Fe1 Fe 0.0843 0.2500 0.6010 1
N1 N 0.1471 0.2500 0.8434 1
N2 N 0.1677 0.7500 0.5539 1
N3 N 0.4568 0.7500 0.1261 1
```

(3)
KFePtN: computed powder diffractogram (Cu Kα, 1.54184 Å), based on the GGA-PBE geometry in Alexandria.

The 10 most intense peaks (10° ≤ 2θ ≤ 90°), most intense first:
(hkl)  2θ (°)  Rel. int.
0 0 2  15.51  100
1 1 2  39.28  67
0 0 4  31.31  33
1 1 4  48.33  21
1 1 1  36.74  21
1 1 0  35.86  21
1 1 6  61.13  20
2 0 4  61.62  18
2 0 0  51.61  17
2 0 2  54.23  16

Cell and atoms:
```
data_KFePtN
_chemical_formula_sum 'K2 Fe2 Pt2 N2'
_cell_length_a 3.5417
_cell_length_b 3.5417
_cell_length_c 11.4290
_cell_angle_alpha 90.00
_cell_angle_beta 90.00
_cell_angle_gamma 90.00
_symmetry_space_group_name_H-M 'P 4/n m m'
_symmetry_Int_Tables_number 129
loop_
_symmetry_equiv_pos_as_xyz
'x,y,z'
'-x,-y,-z'
'-y+1/2,x,z'
'y+1/2,-x,-z'
'-x+1/2,-y+1/2,z'
'x+1/2,y+1/2,-z'
'y,-x+1/2,z'
'-y,x+1/2,-z'
'x+1/2,-y,-z'
'-x+1/2,y,z'
'-y,-x,-z'
'y,x,z'
'-x,y+1/2,-z'
'x,-y+1/2,z'
'y+1/2,x+1/2,-z'
'-y+1/2,-x+1/2,z'
loop_
_atom_site_label
_atom_site_type_symbol
_atom_site_fract_x
_atom_site_fract_y
_atom_site_fract_z
_atom_site_occupancy
K1 K 0.2500 0.2500 0.2488 1
Fe1 Fe 0.2500 0.7500 0.5000 1
Pt1 Pt 0.2500 0.7500 0.0000 1
N1 N 0.2500 0.2500 0.5694 1
```